This entry pairs a crystal structure of LiCr2Sn2S6 with its theoretical XRD peak list. Radiation: Cu Ka. Structure: a crystal structure in Alexandria, relaxed with PBE.
Kinematic intensities with the Lorentz-polarization factor, no thermal factor.

Structural model:
```
data_LiCr2Sn2S6
_space_group_name_H-M_alt 'C 1 2/m 1'
_space_group_IT_number 12
_cell_length_a 6.252
_cell_length_b 11.247
_cell_length_c 6.642
_cell_angle_alpha 90.00
_cell_angle_beta 108.32
_cell_angle_gamma 90.00
loop_
_space_group_symop_operation_xyz
'x,y,z'
'-x,-y,-z'
'-x,y,-z'
'x,-y,z'
'x+1/2,y+1/2,z'
'-x+1/2,-y+1/2,-z'
'-x+1/2,y+1/2,-z'
'x+1/2,-y+1/2,z'
loop_
_atom_site_label
_atom_site_fract_x
_atom_site_fract_y
_atom_site_fract_z
Li1 0.000 0.000 0.000
Cr1 0.000 0.332 0.000
Sn1 0.000 0.156 0.500
S1 0.218 0.500 0.197
S2 0.246 0.186 0.213
```

Peak list (10 most intense, 5 to 70 degrees two-theta, in order of falling intensity)
2θ = 33.71°, I = 100; 2θ = 18.75°, I = 62; 2θ = 34.38°, I = 50; 2θ = 15.76°, I = 34; 2θ = 50.08°, I = 32; 2θ = 47.74°, I = 32; 2θ = 24.90°, I = 24; 2θ = 48.27°, I = 16; 2θ = 48.57°, I = 15; 2θ = 60.85°, I = 15



This entry pairs a crystal structure of CsAg3F8 with its theoretical XRD peak list. Radiation: Cu Ka. Structure: a crystal structure in Alexandria, relaxed with PBE.
Kinematic intensities with the Lorentz-polarization factor, no thermal factor.

Structural model:
```
data_CsAg3F8
_space_group_name_H-M_alt 'P -3'
_space_group_IT_number 147
_cell_length_a 5.8116
_cell_length_b 5.8116
_cell_length_c 7.7299
_cell_angle_alpha 90.00
_cell_angle_beta 90.00
_cell_angle_gamma 120.00
loop_
_space_group_symop_operation_xyz
'x,y,z'
'-x,-y,-z'
'-y,x-y,z'
'y,-x+y,-z'
'-x+y,-x,z'
'x-y,x,-z'
loop_
_atom_site_label
_atom_site_fract_x
_atom_site_fract_y
_atom_site_fract_z
Cs1 0.0000 0.0000 0.0000
Ag1 0.0000 0.0000 0.5000
Ag2 0.3333 0.6667 0.6216
F1 0.0662 0.3429 0.3612
F2 0.3333 0.6667 0.8845
```

Peak list (10 most intense, 5 to 70 degrees two-theta, in order of falling intensity)
2θ = 30.77°, I = 100; 2θ = 29.13°, I = 82; 2θ = 21.06°, I = 65; 2θ = 11.45°, I = 63; 2θ = 38.77°, I = 40; 2θ = 42.88°, I = 39; 2θ = 53.70°, I = 31; 2θ = 50.60°, I = 31; 2θ = 54.71°, I = 29; 2θ = 37.59°, I = 27



This entry pairs a crystal structure of La2Dy7Er with its theoretical XRD peak list. Radiation: Cu Ka. Structure: a crystal structure in Alexandria, relaxed with PBE.
Kinematic intensities with the Lorentz-polarization factor, no thermal factor.

Structural model:
```
data_La2Dy7Er
_space_group_name_H-M_alt 'P -1'
_space_group_IT_number 2
_cell_length_a 5.070
_cell_length_b 7.160
_cell_length_c 9.487
_cell_angle_alpha 78.79
_cell_angle_beta 74.50
_cell_angle_gamma 89.89
loop_
_space_group_symop_operation_xyz
'x,y,z'
'-x,-y,-z'
loop_
_atom_site_label
_atom_site_fract_x
_atom_site_fract_y
_atom_site_fract_z
La1 0.198 0.102 0.104
Dy1 0.000 0.000 0.500
Dy2 0.198 0.598 0.103
Dy3 0.401 0.697 0.697
Dy4 0.402 0.203 0.695
Er1 0.000 0.500 0.500
```

Peak list (10 most intense, 5 to 70 degrees two-theta, in order of falling intensity)
2θ = 30.56°, I = 100; 2θ = 35.38°, I = 34; 2θ = 51.01°, I = 18; 2θ = 35.55°, I = 17; 2θ = 60.56°, I = 14; 2θ = 60.77°, I = 14; 2θ = 50.90°, I = 12; 2θ = 60.49°, I = 11; 2θ = 63.60°, I = 9; 2θ = 51.10°, I = 6



This entry pairs a crystal structure of Sr2Li3Al12Ga with its theoretical XRD peak list. Radiation: Cu Ka. Structure: a crystal structure in Alexandria, relaxed with PBE.
Kinematic intensities with the Lorentz-polarization factor, no thermal factor.

Structural model:
```
data_Sr2Li3Al12Ga
_space_group_name_H-M_alt 'R -3 m'
_space_group_IT_number 166
_space_group_name_Hall '-R 3 2"'
_cell_length_a 6.7525
_cell_length_b 6.7525
_cell_length_c 29.8205
_cell_angle_alpha 90.00
_cell_angle_beta 90.00
_cell_angle_gamma 120.00
loop_
_atom_site_label
_atom_site_fract_x
_atom_site_fract_y
_atom_site_fract_z
Sr1 0.0000 0.0000 0.1485
Li1 0.0000 0.5000 0.0000
Al1 0.0588 0.5294 0.0930
Al2 0.0699 0.5350 0.6185
Ga1 0.0000 0.0000 0.5000
```

Peak list (10 most intense, 5 to 70 degrees two-theta, in order of falling intensity)
2θ = 27.91°, I = 100; 2θ = 8.90°, I = 70; 2θ = 32.05°, I = 65; 2θ = 32.90°, I = 41; 2θ = 36.53°, I = 35; 2θ = 50.28°, I = 30; 2θ = 47.53°, I = 26; 2θ = 26.40°, I = 26; 2θ = 54.35°, I = 23; 2θ = 61.66°, I = 23



This entry pairs a crystal structure of Mg4SnSe6 with its theoretical XRD peak list. Radiation: Cu Ka. Structure: a crystal structure in Alexandria, relaxed with PBE.
Kinematic intensities with the Lorentz-polarization factor, no thermal factor.

Structural model:
```
data_Mg4SnSe6
_space_group_name_H-M_alt 'C 1 c 1'
_space_group_IT_number 9
_cell_length_a 13.035
_cell_length_b 7.412
_cell_length_c 13.235
_cell_angle_alpha 90.00
_cell_angle_beta 107.77
_cell_angle_gamma 90.00
loop_
_space_group_symop_operation_xyz
'x,y,z'
'x,-y,z+1/2'
'x+1/2,y+1/2,z'
'x+1/2,-y+1/2,z+1/2'
loop_
_atom_site_label
_atom_site_fract_x
_atom_site_fract_y
_atom_site_fract_z
Mg1 0.000 0.097 0.000
Mg2 0.121 0.103 0.790
Mg3 0.152 0.381 0.487
Mg4 0.347 0.148 0.120
Sn1 0.415 0.275 0.745
Se1 0.032 0.224 0.590
Se2 0.117 0.265 0.293
Se3 0.170 0.265 0.982
Se4 0.323 0.013 0.799
Se5 0.346 0.218 0.543
Se6 0.395 0.400 0.293
```

Peak list (10 most intense, 5 to 70 degrees two-theta, in order of falling intensity)
2θ = 28.32°, I = 100; 2θ = 23.48°, I = 84; 2θ = 24.01°, I = 71; 2θ = 23.74°, I = 66; 2θ = 29.40°, I = 63; 2θ = 48.02°, I = 52; 2θ = 27.94°, I = 52; 2θ = 41.91°, I = 50; 2θ = 22.98°, I = 50; 2θ = 14.58°, I = 48



This entry pairs a crystal structure of HCl with its theoretical XRD peak list. Radiation: Cu Ka. Structure: a crystal structure in Alexandria, relaxed with PBE.
Kinematic intensities with the Lorentz-polarization factor, no thermal factor.

Structural model:
```
data_HCl
_space_group_name_H-M_alt 'C m c 21'
_space_group_IT_number 36
_cell_length_a 6.655
_cell_length_b 5.299
_cell_length_c 5.245
_cell_angle_alpha 90.00
_cell_angle_beta 90.00
_cell_angle_gamma 90.00
loop_
_space_group_symop_operation_xyz
'x,y,z'
'-x,-y,z+1/2'
'-x,y,z'
'x,-y,z+1/2'
'x+1/2,y+1/2,z'
'-x+1/2,-y+1/2,z+1/2'
'-x+1/2,y+1/2,z'
'x+1/2,-y+1/2,z+1/2'
loop_
_atom_site_label
_atom_site_fract_x
_atom_site_fract_y
_atom_site_fract_z
H1 0.000 0.057 0.000
Cl1 0.000 0.223 0.814
```

Peak list (10 most intense, 5 to 70 degrees two-theta, in order of falling intensity)
2θ = 27.42°, I = 100; 2θ = 26.79°, I = 30; 2θ = 47.71°, I = 17; 2θ = 34.19°, I = 12; 2θ = 33.83°, I = 11; 2θ = 43.96°, I = 11; 2θ = 43.67°, I = 10; 2θ = 57.18°, I = 9; 2θ = 56.60°, I = 9; 2θ = 48.87°, I = 8



This entry pairs a crystal structure of Rb2SbCl3F2 with its theoretical XRD peak list. Radiation: Cu Ka. Structure: a crystal structure in Alexandria, relaxed with PBE.
Kinematic intensities with the Lorentz-polarization factor, no thermal factor.

Structural model:
```
data_Rb2SbCl3F2
_space_group_name_H-M_alt 'P -1'
_space_group_IT_number 2
_cell_length_a 7.639
_cell_length_b 7.651
_cell_length_c 13.377
_cell_angle_alpha 84.54
_cell_angle_beta 78.95
_cell_angle_gamma 60.72
loop_
_space_group_symop_operation_xyz
'x,y,z'
'-x,-y,-z'
loop_
_atom_site_label
_atom_site_fract_x
_atom_site_fract_y
_atom_site_fract_z
Rb1 0.064 0.162 0.306
Rb2 0.193 0.169 0.911
Rb3 0.398 0.501 0.316
Sb1 0.300 0.165 0.603
Sb2 0.500 0.500 0.000
Cl1 0.000 0.500 0.500
Cl2 0.216 0.720 0.884
Cl3 0.238 0.399 0.117
Cl4 0.316 0.820 0.502
Cl5 0.361 0.823 0.116
F1 0.065 0.161 0.697
F2 0.271 0.372 0.696
F3 0.485 0.954 0.691
```

Peak list (10 most intense, 5 to 70 degrees two-theta, in order of falling intensity)
2θ = 29.58°, I = 100; 2θ = 23.40°, I = 99; 2θ = 40.58°, I = 65; 2θ = 29.40°, I = 52; 2θ = 23.13°, I = 42; 2θ = 33.76°, I = 41; 2θ = 23.71°, I = 39; 2θ = 24.33°, I = 34; 2θ = 32.70°, I = 33; 2θ = 41.05°, I = 30



This entry pairs a crystal structure of NdSeO with its theoretical XRD peak list. Radiation: Cu Ka. Structure: a crystal structure in Alexandria, relaxed with PBE.
Kinematic intensities with the Lorentz-polarization factor, no thermal factor.

Structural model:
```
data_NdSeO
_space_group_name_H-M_alt 'C m c e'
_space_group_IT_number 64
_space_group_name_Hall '-C 2ac 2'
_cell_length_a 13.431
_cell_length_b 6.008
_cell_length_c 6.002
_cell_angle_alpha 90.00
_cell_angle_beta 90.00
_cell_angle_gamma 90.00
loop_
_atom_site_label
_atom_site_fract_x
_atom_site_fract_y
_atom_site_fract_z
Nd1 0.168 0.000 0.000
Se1 0.000 0.142 0.357
O1 0.250 0.244 0.750
```

Peak list (10 most intense, 5 to 70 degrees two-theta, in order of falling intensity)
2θ = 28.98°, I = 100; 2θ = 40.29°, I = 28; 2θ = 48.41°, I = 21; 2θ = 29.75°, I = 18; 2θ = 69.67°, I = 18; 2θ = 50.88°, I = 15; 2θ = 42.58°, I = 15; 2θ = 52.33°, I = 13; 2θ = 32.67°, I = 13; 2θ = 63.49°, I = 13



This entry pairs a crystal structure of CsY2Mn with its theoretical XRD peak list. Radiation: Cu Ka. Structure: a crystal structure in Alexandria, relaxed with PBE.
Kinematic intensities with the Lorentz-polarization factor, no thermal factor.

Structural model:
```
data_CsY2Mn
_space_group_name_H-M_alt 'I -4 2 d'
_space_group_IT_number 122
_space_group_name_Hall 'I -4 2bw'
_cell_length_a 7.917
_cell_length_b 7.917
_cell_length_c 11.195
_cell_angle_alpha 90.00
_cell_angle_beta 90.00
_cell_angle_gamma 90.00
loop_
_atom_site_label
_atom_site_fract_x
_atom_site_fract_y
_atom_site_fract_z
Cs1 0.000 0.000 0.000
Y1 0.001 0.250 0.625
Mn1 0.000 0.000 0.500
```

Peak list (10 most intense, 5 to 70 degrees two-theta, in order of falling intensity)
2θ = 22.46°, I = 100; 2θ = 26.40°, I = 78; 2θ = 45.85°, I = 56; 2θ = 39.43°, I = 45; 2θ = 27.60°, I = 38; 2θ = 41.93°, I = 30; 2θ = 62.03°, I = 23; 2θ = 51.63°, I = 20; 2θ = 63.86°, I = 19; 2θ = 54.36°, I = 16



- Number 1 is which compound?
  LiCr2Sn2S6



- Which formula does entry 1 have?
  LiCr2Sn2S6